Starting from the GGA+U geometry in Alexandria, the XRD peak list of CrAuS2O8 was computed for Cu Kα (λ = 1.5418 Å).
Intensities are scaled so that the largest is 100.

Crystal structure
```
CrAuS2O8
1.0
4.2725 -2.6066 0.0000
4.2725 2.6066 0.0000
-1.6639 0.0000 8.1102
Cr Au S O
1 1 2 8
Cartesian
0.0000 0.0000 0.0000
-0.8320 0.0000 4.0551
1.3510 0.0000 6.5281
5.5300 0.0000 1.5822
2.2007 1.2100 6.7246
0.2430 0.0000 7.5038
0.9366 0.0000 5.1087
4.6803 1.2100 1.3856
2.2007 -1.2100 6.7246
5.9444 0.0000 3.0016
6.6380 0.0000 0.6064
4.6803 -1.2100 1.3856
```

Top 8 peaks for 2θ = 15–90°, in order of rising 2θ:
| 2θ/deg | d_spacing | I (rel.) |
| --- | --- | --- |
| 20.07 | 4.425 | 78 |
| 21.85 | 4.068 | 100 |
| 27.38 | 3.258 | 38 |
| 28.23 | 3.162 | 39 |
| 31.47 | 2.843 | 49 |
| 36.53 | 2.460 | 26 |
| 41.15 | 2.193 | 24 |
| 44.53 | 2.035 | 22 |